# Pm2NdTm7
Calculated X-ray powder pattern, Cu Kα. Input: the PBE geometry in Alexandria.
No peak broadening, texture or thermal motion is included.

Structure:
Lattice parameters (Å, degrees): 6.138 7.057 7.894 102.65 97.40 106.86
Space group P-1 (No. 2)
One atom of each set of equivalent atoms:
1 Pm 0.102 0.202 0.203
2 Nd 0.500 0.000 0.000
3 Tm 0.099 0.700 0.202
4 Tm 0.299 0.598 0.598
5 Tm 0.301 0.101 0.600
6 Tm 0.500 0.500 0.000

Largest 10 diffraction maxima, by angle, 10 to 90 degrees two-theta:
index, 2θ/deg, Rel. int.
1 0 2, 30.94, 100
0 2 -2, 31.10, 33
1 2 0, 35.92, 67
3 0 1, 51.61, 24
2 2 -3, 51.82, 24
2 2 2, 61.38, 10
0 4 1, 61.48, 33
2 -4 3, 61.68, 14
2 0 4, 64.48, 12
3 4 -3, 87.35, 11

# BaHgF4
Calculated X-ray powder pattern, Cu Kα. Input: the PBE geometry in Alexandria.
No peak broadening, texture or thermal motion is included.

Structure:
Lattice parameters (Å, degrees): 12.931 6.177 6.246 90.00 114.10 90.00
Space group C2/c (No. 15)
One atom of each set of equivalent atoms:
1 Ba 0.000 0.234 0.250
2 Hg 0.250 0.250 0.000
3 F 0.113 0.433 0.019
4 F 0.138 0.037 0.647

Largest 10 diffraction maxima, by angle, 10 to 90 degrees two-theta:
index, 2θ/deg, Rel. int.
1 1 1, 24.59, 100
3 1 -1, 26.00, 83
2 0 -2, 28.68, 23
0 2 0, 28.91, 21
4 0 0, 30.29, 17
2 0 2, 40.37, 17
2 2 -2, 41.17, 32
4 2 0, 42.36, 32
1 1 -3, 47.58, 18
3 3 -1, 49.49, 15

# CaTl4Zn3F12
Calculated X-ray powder pattern, Cu Kα. Input: the PBE geometry in Alexandria.
No peak broadening, texture or thermal motion is included.

Structure:
Lattice parameters (Å, degrees): 8.550 8.550 8.550 90.00 90.00 90.00
Space group Im-3m (No. 229)
One atom of each set of equivalent atoms:
1 Ca 0.000 0.000 0.000
2 Tl 0.250 0.250 0.250
3 Zn 0.000 0.000 0.500
4 F 0.000 0.000 0.263
5 F 0.000 0.250 0.500

Largest 10 diffraction maxima, by angle, 10 to 90 degrees two-theta:
index, 2θ/deg, Rel. int.
2 0 0, 20.78, 25
2 2 0, 29.55, 100
2 2 2, 36.40, 24
4 0 0, 42.28, 33
4 2 0, 47.56, 13
4 2 2, 52.43, 42
4 4 0, 61.34, 21
6 2 0, 69.54, 18
6 2 2, 73.47, 9
6 4 2, 84.87, 22

# Pu2Al3Ga4
Calculated X-ray powder pattern, Cu Kα. Input: the PBE geometry in Alexandria.
No peak broadening, texture or thermal motion is included.

Structure:
Lattice parameters (Å, degrees): 5.822 15.233 7.856 90.00 90.00 90.00
Space group Cmce (No. 64)
One atom of each set of equivalent atoms:
1 Pu 0.000 0.108 0.090
2 Al 0.000 0.000 0.500
3 Al 0.250 0.225 0.750
4 Ga 0.000 0.179 0.467
5 Ga 0.250 0.056 0.750

Largest 10 diffraction maxima, by angle, 10 to 90 degrees two-theta:
index, 2θ/deg, Rel. int.
1 1 1, 19.86, 68
0 4 0, 23.36, 33
1 1 2, 28.02, 29
1 3 2, 32.69, 81
2 2 1, 34.92, 54
1 5 1, 35.15, 100
0 2 3, 36.28, 67
2 0 2, 38.49, 45
2 4 0, 38.94, 34
1 7 2, 50.44, 31

# Cs3RuO4
Calculated X-ray powder pattern, Cu Kα. Input: the PBE geometry in Alexandria.
No peak broadening, texture or thermal motion is included.

Structure:
Lattice parameters (Å, degrees): 8.688 9.807 9.291 90.00 90.00 90.00
Space group Pnma (No. 62)
One atom of each set of equivalent atoms:
1 Cs 0.023 0.025 0.228
2 Cs 0.195 0.750 0.477
3 Ru 0.227 0.750 0.987
4 O 0.036 0.750 0.076
5 O 0.192 0.080 0.526
6 O 0.238 0.750 0.785

Largest 10 diffraction maxima, by angle, 10 to 90 degrees two-theta:
index, 2θ/deg, Rel. int.
0 2 2, 26.43, 100
2 2 0, 27.43, 84
2 0 2, 28.12, 83
0 4 0, 36.65, 24
0 0 4, 38.77, 19
4 0 0, 41.57, 10
2 4 2, 46.82, 35
2 2 4, 48.15, 29
4 2 2, 49.94, 16
0 4 4, 54.42, 19

# Sc7SbS5
Calculated X-ray powder pattern, Cu Kα. Input: the PBE geometry in Alexandria.
No peak broadening, texture or thermal motion is included.

Structure:
Lattice parameters (Å, degrees): 3.750 12.129 21.921 90.00 90.00 90.00
Space group Cmcm (No. 63)
One atom of each set of equivalent atoms:
1 Sc 0.000 0.015 0.250
2 Sc 0.000 0.138 0.536
3 Sc 0.000 0.324 0.173
4 Sc 0.000 0.406 0.614
5 Sb 0.000 0.304 0.750
6 S 0.000 0.045 0.641
7 S 0.000 0.225 0.071
8 S 0.000 0.500 0.000

Largest 10 diffraction maxima, by angle, 10 to 90 degrees two-theta:
index, 2θ/deg, Rel. int.
0 2 7, 32.20, 76
1 3 2, 33.61, 100
1 3 3, 34.87, 58
0 2 8, 35.99, 17
1 1 7, 38.17, 19
1 1 9, 45.01, 32
2 0 0, 48.56, 28
1 5 5, 49.33, 21
0 6 5, 49.66, 18
2 2 7, 59.44, 17